Theoretical powder XRD pattern
Compound: GaMo4Se8
Radiation: Cu Kα (λ = 1.5418 Å)
Structure: a crystal structure in the Materials Project, relaxed with GGA-PBE
No peak broadening, texture or thermal motion is included.

The 12 most intense peaks (10 to 90 degrees two-theta), by angle:
hkl 1 0 1, 2θ 14.8, d 5.972, intensity 29; hkl 1 1 3, 2θ 28.7, d 3.109, intensity 17; hkl 2 0 2, 2θ 29.9, d 2.986, intensity 17; hkl 0 2 4, 2θ 34.8, d 2.575, intensity 100; hkl 3 0 0, 2θ 42.7, d 2.116, intensity 12; hkl 2 1 4, 2θ 42.9, d 2.107, intensity 24; hkl 3 0 3, 2θ 45.6, d 1.991, intensity 13; hkl 1 2 5, 2θ 45.7, d 1.983, intensity 14; hkl 2 2 0, 2θ 49.8, d 1.832, intensity 41; hkl 2 0 8, 2θ 50.4, d 1.810, intensity 38; hkl 4 0 4, 2θ 62.2, d 1.493, intensity 12; hkl 2 3 8, 2θ 78.8, d 1.215, intensity 12

Atomic structure:
Lattice parameters (Å, degrees): 7.3292 7.3292 17.6230 90.00 90.00 120.00
Space group R3m (No. 160, hexagonal axes)
Unique sites:
Ga  0.0000  0.0000  0.0000 x3
Mo  0.0000  0.0000  0.5947 x3
Mo  0.0632  0.5316  0.1328 x9
Se  0.0000  0.0000  0.3649 x3
Se  0.0000  0.0000  0.8610 x3
Se  0.0314  0.5157  0.8759 x9
Se  0.0335  0.5168  0.3769 x9